Computed X-ray diffraction stick pattern
Compound: Ba6H3Ir
Radiation: Cu Kα, 1.54184 Å
Structure: a cell relaxed with GGA-PBE
No peak broadening, texture or thermal motion is included.

Top 10 peaks for 5° ≤ 2θ ≤ 70°, most intense first:
(1 0 -4), 25.79 deg, I 100; (2 1 -1), 26.03 deg, I 73; (1 1 -1), 15.90 deg, I 71; (1 2 0), 26.34 deg, I 67; (2 1 -2), 25.19 deg, I 59; (0 1 1), 13.58 deg, I 43; (0 2 1), 23.94 deg, I 40; (2 3 -5), 48.26 deg, I 39; (1 0 2), 24.91 deg, I 38; (1 0 -2), 13.74 deg, I 35

Structure:
```
data_Ba6H3Ir
_chemical_formula_sum 'Ba12 H6 Ir2'
_symmetry_space_group_name_H-M 'P 1 21/c 1'
_symmetry_Int_Tables_number 14
_symmetry_space_group_name_Hall '-P 2ybc'
_cell_length_a 7.932
_cell_length_b 7.837
_cell_length_c 13.905
_cell_angle_alpha 90.00
_cell_angle_beta 122.27
_cell_angle_gamma 90.00
loop_
_atom_site_label
_atom_site_type_symbol
_atom_site_fract_x
_atom_site_fract_y
_atom_site_fract_z
_atom_site_occupancy
Ba1 Ba 0.105 0.186 0.421 1
Ba2 Ba 0.237 0.682 0.420 1
Ba3 Ba 0.379 0.051 0.254 1
H1 H 0.000 0.000 0.000 1
H2 H 0.044 0.554 0.743 1
Ir1 Ir 0.500 0.000 0.500 1
```